1.
Diffraction record for NaSn12Rh4. The powder X-ray diffraction pattern is computed, not measured: it uses a cell relaxed with PBE and Cu Ka.
Neutral-atom scattering factors, no anomalous dispersion.

Cell and atoms:
```
data_NaSn12Rh4
_cell_length_a 9.4924
_cell_length_b 9.4924
_cell_length_c 9.4924
_cell_angle_alpha 90.00
_cell_angle_beta 90.00
_cell_angle_gamma 90.00
_symmetry_space_group_name_H-M 'I m -3'
_symmetry_Int_Tables_number 204
_symmetry_space_group_name_Hall '-I 2 2 3'
loop_
_atom_site_label
_atom_site_fract_x
_atom_site_fract_y
_atom_site_fract_z
Na1 0.0000 0.0000 0.0000
Sn1 0.0000 0.3368 0.1629
Rh1 0.2500 0.2500 0.2500
```

Most intense lines, 2θ from 15° to 90°, by intensity:
- hkl 3 0 1, 2θ 29.76, intensity 100.0
- hkl 3 1 2, 2θ 35.38, intensity 39.6
- hkl 4 2 0, 2θ 42.59, intensity 36.7
- hkl 4 2 2, 2θ 46.89, intensity 30.3
- hkl 4 3 1, 2θ 48.93, intensity 21.9
- hkl 6 1 3, 2θ 66.85, intensity 20.8

---

2.
Diffraction record for Ac14LaCe. The powder X-ray diffraction pattern is computed, not measured: it uses a cell relaxed with PBE and Cu Ka.
Neutral-atom scattering factors, no anomalous dispersion.

Cell and atoms:
```
data_Ac14LaCe
_cell_length_a 11.2275
_cell_length_b 11.1800
_cell_length_c 11.1808
_cell_angle_alpha 90.00
_cell_angle_beta 90.00
_cell_angle_gamma 90.00
_symmetry_space_group_name_H-M 'A m m 2'
_symmetry_Int_Tables_number 38
_symmetry_space_group_name_Hall 'A 2 -2'
loop_
_atom_site_label
_atom_site_fract_x
_atom_site_fract_y
_atom_site_fract_z
Ac1 0.0000 0.0000 0.0000
Ac2 0.0000 0.0000 0.4989
Ac3 0.0000 0.2482 0.2494
Ac4 0.2533 0.0000 0.7512
Ac5 0.2561 0.2481 0.9993
Ac6 0.2590 0.0000 0.2473
Ac7 0.5000 0.2472 0.7494
La1 0.5000 0.0000 0.4997
Ce1 0.5000 0.0000 0.9987
```

Most intense lines, 2θ from 15° to 90°, by intensity:
- hkl 2 2 2, 2θ 27.60, intensity 100.0
- hkl 0 4 0, 2θ 32.02, intensity 34.4
- hkl 2 6 2, 2θ 54.41, intensity 31.6
- hkl 4 4 0, 2θ 45.81, intensity 25.7
- hkl 4 0 0, 2θ 31.88, intensity 17.2
- hkl 6 2 2, 2θ 54.23, intensity 15.5

---

3.
Diffraction record for Ce3Sm2Te8. The powder X-ray diffraction pattern is computed, not measured: it uses a cell relaxed with PBE and Cu Ka.
Neutral-atom scattering factors, no anomalous dispersion.

Cell and atoms:
```
data_Ce3Sm2Te8
_cell_length_a 10.7245
_cell_length_b 15.2987
_cell_length_c 5.4425
_cell_angle_alpha 90.00
_cell_angle_beta 90.00
_cell_angle_gamma 90.00
_symmetry_space_group_name_H-M 'C m m m'
_symmetry_Int_Tables_number 65
_symmetry_space_group_name_Hall '-C 2 2'
loop_
_atom_site_label
_atom_site_fract_x
_atom_site_fract_y
_atom_site_fract_z
Ce1 0.0000 0.0000 0.0000
Ce2 0.2308 0.5000 0.5000
Sm1 0.0000 0.2665 0.0000
Te1 0.0000 0.1161 0.5000
Te2 0.0000 0.3694 0.5000
Te3 0.2386 0.1243 0.0000
```

Most intense lines, 2θ from 15° to 90°, by intensity:
- hkl 2 4 1, 2θ 33.15, intensity 100.0
- hkl 0 0 2, 2θ 32.91, intensity 27.0
- hkl 4 0 2, 2θ 47.59, intensity 26.1
- hkl 4 0 0, 2θ 33.42, intensity 24.3
- hkl 2 4 3, 2θ 58.92, intensity 19.0
- hkl 6 4 1, 2θ 59.56, intensity 16.2

---

4.
Diffraction record for Tl3In7Hg4. The powder X-ray diffraction pattern is computed, not measured: it uses a cell relaxed with PBE and Cu Ka.
Neutral-atom scattering factors, no anomalous dispersion.

Cell and atoms:
```
data_Tl3In7Hg4
_cell_length_a 18.4681
_cell_length_b 4.7352
_cell_length_c 11.3320
_cell_angle_alpha 90.00
_cell_angle_beta 126.58
_cell_angle_gamma 90.00
_symmetry_space_group_name_H-M 'C 1 2/m 1'
_symmetry_Int_Tables_number 12
_symmetry_space_group_name_Hall '-C 2y'
loop_
_atom_site_label
_atom_site_fract_x
_atom_site_fract_y
_atom_site_fract_z
Tl1 0.0000 0.0000 0.0000
Tl2 0.2027 0.5000 0.7022
In1 0.0000 0.0000 0.5000
In2 0.0037 0.5000 0.3240
In3 0.1633 0.0000 0.4493
In4 0.1640 0.5000 0.0242
Hg1 0.1358 0.5000 0.2522
Hg2 0.1374 0.0000 0.8448
```

Most intense lines, 2θ from 15° to 90°, by intensity:
- hkl 1 1 2, 2θ 30.30, intensity 100.0
- hkl 0 2 0, 2θ 38.01, intensity 43.0
- hkl 5 1 -2, 2θ 30.75, intensity 42.4
- hkl 3 1 1, 2θ 31.52, intensity 31.0
- hkl 3 1 -4, 2θ 37.38, intensity 20.7
- hkl 6 0 0, 2θ 36.35, intensity 20.3

---

Repeat the second record exactly.
Diffraction record for Ac14LaCe. The powder X-ray diffraction pattern is computed, not measured: it uses a cell relaxed with PBE and Cu Ka.
Neutral-atom scattering factors, no anomalous dispersion.

Cell and atoms:
```
data_Ac14LaCe
_cell_length_a 11.2275
_cell_length_b 11.1800
_cell_length_c 11.1808
_cell_angle_alpha 90.00
_cell_angle_beta 90.00
_cell_angle_gamma 90.00
_symmetry_space_group_name_H-M 'A m m 2'
_symmetry_Int_Tables_number 38
_symmetry_space_group_name_Hall 'A 2 -2'
loop_
_atom_site_label
_atom_site_fract_x
_atom_site_fract_y
_atom_site_fract_z
Ac1 0.0000 0.0000 0.0000
Ac2 0.0000 0.0000 0.4989
Ac3 0.0000 0.2482 0.2494
Ac4 0.2533 0.0000 0.7512
Ac5 0.2561 0.2481 0.9993
Ac6 0.2590 0.0000 0.2473
Ac7 0.5000 0.2472 0.7494
La1 0.5000 0.0000 0.4997
Ce1 0.5000 0.0000 0.9987
```

Most intense lines, 2θ from 15° to 90°, by intensity:
- hkl 2 2 2, 2θ 27.60, intensity 100.0
- hkl 0 4 0, 2θ 32.02, intensity 34.4
- hkl 2 6 2, 2θ 54.41, intensity 31.6
- hkl 4 4 0, 2θ 45.81, intensity 25.7
- hkl 4 0 0, 2θ 31.88, intensity 17.2
- hkl 6 2 2, 2θ 54.23, intensity 15.5